1.
# Rb3Mn2GeBr9
Calculated PXRD pattern, CuKα. Input: a structure optimized by DFT (PBE).

Cell and atoms:
a b c (Å): 7.7025 7.7025 9.4318
angles (deg): 90.00 90.00 120.00
Space group P-3m1 (No. 164)
One atom of each set of equivalent atoms:
Rb: 0.0000 0.0000 0.0000 x1
Rb: 0.3333 0.6667 0.6680 x2
Mn: 0.3333 0.6667 0.1624 x2
Ge: 0.0000 0.0000 0.5000 x1
Br: 0.0000 0.5000 0.0000 x3
Br: 0.1705 0.3411 0.3278 x6

Largest 10 diffraction maxima, by angle, 10 to 80 degrees two-theta:
| 2θ/deg | Rel. int. | (hkl) |
| --- | --- | --- |
| 16.3 | 132 | 1 0 1 |
| 23.1 | 147 | 0 1 2 |
| 28.4 | 923 | 0 2 1 |
| 32.9 | 1000 | 2 0 2 |
| 47.2 | 701 | 2 2 0 |
| 56.0 | 392 | 4 0 1 |
| 58.7 | 239 | 0 4 2 |
| 69.0 | 109 | 4 0 4 |
| 76.2 | 161 | 2 4 1 |
| 78.6 | 304 | 4 2 2 |

---

2.
# HfICl3
Calculated PXRD pattern, CuKα. Input: a structure optimized by DFT (PBE).

Cell and atoms:
a b c (Å): 7.2347 6.1986 8.0947
angles (deg): 90.00 90.05 90.00
Space group P2_1 (No. 4)
One atom of each set of equivalent atoms:
Hf: 0.2500 0.0000 0.0034 x2
I: 0.2499 0.8245 0.3130 x2
Cl: 0.0061 0.7584 0.8849 x2
Cl: 0.2502 0.2014 0.7586 x2
Cl: 0.4939 0.7587 0.8849 x2

Largest 10 diffraction maxima, by angle, 10 to 80 degrees two-theta:
| 2θ/deg | Rel. int. | (hkl) |
| --- | --- | --- |
| 10.9 | 895 | 0 0 1 |
| 18.9 | 1000 | 1 1 0 |
| 21.8 | 548 | 1 1 1 |
| 24.6 | 280 | 2 0 0 |
| 30.7 | 341 | 2 1 1 |
| 36.5 | 185 | 0 2 2 |
| 38.5 | 314 | 1 1 3 |
| 39.9 | 302 | 2 2 -1 |
| 41.7 | 315 | 2 0 3 |
| 44.5 | 291 | 2 2 2 |

---

Which formula does entry 2 have?
HfICl3